Record 1
Theoretical powder diffractogram of Rb3SrPb2Cl9 for Cu Kα, 1.54184 Å, from a PBE-relaxed structure.
Intensities are scaled so that the largest is 1000.

Peak list (8 most intense, 2θ from 10° to 90°, by angle)
2θ = 15.48°, intensity 690; 2θ = 21.82°, intensity 782; 2θ = 22.10°, intensity 930; 2θ = 31.25°, intensity 1000; 2θ = 34.87°, intensity 301; 2θ = 38.61°, intensity 391; 2θ = 44.48°, intensity 290; 2θ = 45.08°, intensity 390

Cell and atoms:
```
data_Rb3SrPb2Cl9
_chemical_formula_sum 'Rb3 Sr1 Pb2 Cl9'
_space_group_name_H-M_alt 'P -3 m 1'
_space_group_IT_number 164
_space_group_name_Hall '-P 3 2"'
_cell_length_a 8.0438
_cell_length_b 8.0438
_cell_length_c 10.0422
_cell_angle_alpha 90.00
_cell_angle_beta 90.00
_cell_angle_gamma 120.00
loop_
_atom_site_label
_atom_site_fract_x
_atom_site_fract_y
_atom_site_fract_z
Rb1 0.0000 0.0000 0.0000
Rb2 0.3333 0.6667 0.7342
Sr1 0.0000 0.0000 0.5000
Pb1 0.3333 0.6667 0.1751
Cl1 0.0000 0.5000 0.0000
Cl2 0.1602 0.3203 0.3213
```

***

Record 2
Theoretical powder diffractogram of La6DyHoEr2 for Cu Kα, 1.54184 Å, from a PBE-relaxed structure.
Intensities are scaled so that the largest is 1000.

Peak list (8 most intense, 2θ from 10° to 90°, by angle)
2θ = 27.25°, intensity 419; 2θ = 28.05°, intensity 653; 2θ = 29.77°, intensity 759; 2θ = 30.01°, intensity 761; 2θ = 30.53°, intensity 596; 2θ = 30.75°, intensity 686; 2θ = 30.96°, intensity 1000; 2θ = 32.99°, intensity 564

Cell and atoms:
```
data_La6DyHoEr2
_chemical_formula_sum 'La24 Dy4 Ho4 Er8'
_space_group_name_H-M_alt 'C 1 2/c 1'
_space_group_IT_number 15
_space_group_name_Hall '-C 2yc'
_cell_length_a 9.313
_cell_length_b 15.442
_cell_length_c 9.789
_cell_angle_alpha 90.00
_cell_angle_beta 98.50
_cell_angle_gamma 90.00
loop_
_atom_site_label
_atom_site_fract_x
_atom_site_fract_y
_atom_site_fract_z
La1 0.065 0.175 0.448
La2 0.098 0.394 0.620
La3 0.217 0.221 0.807
Dy1 0.000 0.026 0.750
Ho1 0.000 0.412 0.250
Er1 0.244 0.047 0.046
```

***

Record 3
Theoretical powder diffractogram of Zr3AsH2 for Cu Kα, 1.54184 Å, from a PBE-relaxed structure.
Intensities are scaled so that the largest is 1000.

Peak list (8 most intense, 2θ from 10° to 90°, by angle)
2θ = 30.03°, intensity 878; 2θ = 31.01°, intensity 813; 2θ = 33.72°, intensity 791; 2θ = 35.20°, intensity 1000; 2θ = 38.30°, intensity 796; 2θ = 40.45°, intensity 570; 2θ = 42.72°, intensity 606; 2θ = 42.88°, intensity 538

Cell and atoms:
```
data_Zr3AsH2
_chemical_formula_sum 'Zr6 As2 H4'
_space_group_name_H-M_alt 'P 1 21/m 1'
_space_group_IT_number 11
_space_group_name_Hall '-P 2yb'
_cell_length_a 5.696
_cell_length_b 3.496
_cell_length_c 9.568
_cell_angle_alpha 90.00
_cell_angle_beta 95.75
_cell_angle_gamma 90.00
loop_
_atom_site_label
_atom_site_fract_x
_atom_site_fract_y
_atom_site_fract_z
Zr1 0.097 0.250 0.306
Zr2 0.229 0.250 0.942
Zr3 0.335 0.250 0.614
As1 0.346 0.750 0.159
H1 0.044 0.750 0.904
H2 0.448 0.250 0.413
```

***

Record 4
Theoretical powder diffractogram of Ba3In4Ge4 for Cu Kα, 1.54184 Å, from a PBE-relaxed structure.
Intensities are scaled so that the largest is 1000.

Peak list (8 most intense, 2θ from 10° to 90°, by angle)
2θ = 29.35°, intensity 1000; 2θ = 30.16°, intensity 294; 2θ = 30.28°, intensity 890; 2θ = 33.42°, intensity 579; 2θ = 33.90°, intensity 602; 2θ = 39.13°, intensity 360; 2θ = 52.71°, intensity 274; 2θ = 57.88°, intensity 200

Cell and atoms:
```
data_Ba3In4Ge4
_chemical_formula_sum 'Ba6 In8 Ge8'
_space_group_name_H-M_alt 'I m m m'
_space_group_IT_number 71
_space_group_name_Hall '-I 2 2'
_cell_length_a 5.288
_cell_length_b 7.650
_cell_length_c 16.073
_cell_angle_alpha 90.00
_cell_angle_beta 90.00
_cell_angle_gamma 90.00
loop_
_atom_site_label
_atom_site_fract_x
_atom_site_fract_y
_atom_site_fract_z
Ba1 0.000 0.000 0.000
Ba2 0.000 0.500 0.122
In1 0.000 0.300 0.329
Ge1 0.000 0.000 0.212
Ge2 0.000 0.172 0.500
```

***

Record 5
Theoretical powder diffractogram of Ca2Pm2Cd3 for Cu Kα, 1.54184 Å, from a PBE-relaxed structure.
Intensities are scaled so that the largest is 1000.

Peak list (8 most intense, 2θ from 10° to 90°, by angle)
2θ = 10.10°, intensity 354; 2θ = 25.60°, intensity 130; 2θ = 33.42°, intensity 1000; 2θ = 35.00°, intensity 119; 2θ = 47.99°, intensity 172; 2θ = 59.74°, intensity 343; 2θ = 70.22°, intensity 102; 2θ = 80.03°, intensity 138

Cell and atoms:
```
data_Ca2Pm2Cd3
_chemical_formula_sum 'Ca6 Pm6 Cd9'
_space_group_name_H-M_alt 'R -3 m'
_space_group_IT_number 166
_space_group_name_Hall '-R 3 2"'
_cell_length_a 5.3619
_cell_length_b 5.3619
_cell_length_c 26.2671
_cell_angle_alpha 90.00
_cell_angle_beta 90.00
_cell_angle_gamma 120.00
loop_
_atom_site_label
_atom_site_fract_x
_atom_site_fract_y
_atom_site_fract_z
Ca1 0.0000 0.0000 0.1279
Pm1 0.0000 0.0000 0.3796
Cd1 0.0000 0.0000 0.0000
Cd2 0.0000 0.0000 0.2551
```

***

Record 6
Theoretical powder diffractogram of Tm3MgAl8 for Cu Kα, 1.54184 Å, from a PBE-relaxed structure.
Intensities are scaled so that the largest is 1000.

Peak list (8 most intense, 2θ from 10° to 90°, by angle)
2θ = 18.97°, intensity 118; 2θ = 19.80°, intensity 573; 2θ = 32.61°, intensity 902; 2θ = 38.44°, intensity 1000; 2θ = 58.23°, intensity 260; 2θ = 62.12°, intensity 244; 2θ = 68.39°, intensity 105; 2θ = 77.78°, intensity 148

Cell and atoms:
```
data_Tm3MgAl8
_chemical_formula_sum 'Tm9 Mg3 Al24'
_space_group_name_H-M_alt 'R 3 m'
_space_group_IT_number 160
_space_group_name_Hall 'R 3 -2"'
_cell_length_a 5.4867
_cell_length_b 5.4867
_cell_length_c 26.9518
_cell_angle_alpha 90.00
_cell_angle_beta 90.00
_cell_angle_gamma 120.00
loop_
_atom_site_label
_atom_site_fract_x
_atom_site_fract_y
_atom_site_fract_z
Tm1 0.0000 0.0000 0.0000
Tm2 0.0000 0.0000 0.1271
Tm3 0.0000 0.0000 0.6235
Mg1 0.0000 0.0000 0.5002
Al1 0.0000 0.0000 0.3128
Al2 0.0000 0.0000 0.8133
Al3 0.0015 0.5008 0.5633
Al4 0.1671 0.3343 0.3963
```